This entry pairs a crystal structure of TmFe2 with its theoretical PXRD pattern. Radiation: Cu Kα X-rays. Structure: a crystal structure in the Materials Project, relaxed with PBE.
Lines closer than 0.1° are merged.

Peak list (10 most intense, 10° ≤ 2θ ≤ 90°, in order of rising 2θ)
2θ/deg, intensity, hkl
35.2, 71, 1 1 0
38.5, 100, 1 0 3
40.9, 16, 2 0 0
41.6, 100, 1 1 2
42.4, 52, 2 0 1
65.4, 42, 2 1 3
67.6, 23, 3 0 2
71.2, 27, 2 0 5
74.5, 22, 2 2 0
87.2, 19, 3 1 3

Structure:
```
data_TmFe2
_cell_length_a 5.0929
_cell_length_b 5.0929
_cell_length_c 8.2743
_cell_angle_alpha 90.00
_cell_angle_beta 90.00
_cell_angle_gamma 120.00
_symmetry_space_group_name_H-M 'P 63/m m c'
_symmetry_Int_Tables_number 194
_symmetry_space_group_name_Hall '-P 6c 2c'
loop_
_atom_site_label
_atom_site_fract_x
_atom_site_fract_y
_atom_site_fract_z
Tm1 0.3333 0.6667 0.0622
Fe1 0.0000 0.0000 0.0000
Fe2 0.1661 0.3322 0.7500
```